Theoretical powder XRD pattern of SmU5S6 for Cu Kα (λ = 1.5418 Å), from a DFT-relaxed cell (GGA-PBE, Alexandria).
Intensities are scaled so that the largest is 100.

Atomic structure:
Lattice parameters (Å, degrees): 6.7356 11.7216 6.7186 90.00 109.78 90.00
Space group C2/m (No. 12)
Asymmetric unit:
1 Sm 0.0000 0.0000 0.0000 x2
2 U 0.0000 0.1644 0.5000 x4
3 U 0.0000 0.3329 0.0000 x4
4 U 0.0000 0.5000 0.5000 x2
5 S 0.2453 0.5000 0.2504 x4
6 S 0.2465 0.3311 0.7469 x8

Main lines, low angle first (2θ = 5–70°):
(1 3 -1), 28.01°, d 3.186, I 51.5
(2 0 0), 28.19°, d 3.165, I 50.5
(1 3 1), 32.56°, d 2.750, I 100.0
(3 3 -1), 46.71°, d 1.945, I 48.9
(2 6 0), 55.28°, d 1.662, I 25.5
(2 6 -2), 57.89°, d 1.593, I 13.0

***

Theoretical powder XRD pattern of SmU4S5 for Cu Kα (λ = 1.5418 Å), from a DFT-relaxed cell (GGA-PBE, Alexandria).
Intensities are scaled so that the largest is 100.

Atomic structure:
Lattice parameters (Å, degrees): 3.8659 5.5025 19.5944 90.00 90.00 90.00
Space group Immm (No. 71)
Asymmetric unit:
1 Sm 0.0000 0.0000 0.0000 x2
2 U 0.0000 0.0000 0.2026 x4
3 U 0.0000 0.0000 0.3996 x4
4 S 0.0000 0.5000 0.0000 x2
5 S 0.0000 0.5000 0.1986 x4
6 S 0.0000 0.5000 0.3965 x4

Main lines, low angle first (2θ = 5–70°):
(0 1 5), 27.95°, d 3.192, I 51.0
(1 1 0), 28.21°, d 3.163, I 50.0
(0 2 0), 32.54°, d 2.752, I 100.0
(1 2 5), 46.68°, d 1.946, I 48.8
(1 1 10), 55.14°, d 1.666, I 16.9
(2 1 5), 55.58°, d 1.653, I 16.6

***

Theoretical powder XRD pattern of Sm2VS5 for Cu Kα (λ = 1.5418 Å), from a DFT-relaxed cell (GGA-PBE, Alexandria).
Intensities are scaled so that the largest is 100.

Atomic structure:
Lattice parameters (Å, degrees): 10.0030 9.4498 4.5107 90.00 116.80 90.00
Space group Cm (No. 8)
Asymmetric unit:
1 Sm 0.0000 0.2070 0.0000 x4
2 V 0.2275 0.0000 0.7258 x2
3 S 0.1890 0.2576 0.6889 x4
4 S 0.2235 0.0000 0.2228 x2
5 S 0.4387 0.5000 0.4390 x2
6 S 0.4834 0.0000 0.9844 x2

Main lines, low angle first (2θ = 5–70°):
(1 1 0), 13.64°, d 6.490, I 52.1
(2 0 -1), 22.08°, d 4.026, I 100.0
(0 2 1), 29.14°, d 3.064, I 70.2
(2 0 1), 36.16°, d 2.484, I 52.9
(4 0 0), 40.37°, d 2.234, I 55.8
(4 2 -1), 41.05°, d 2.199, I 42.4

***

Theoretical powder XRD pattern of Sm3YS4 for Cu Kα (λ = 1.5418 Å), from a DFT-relaxed cell (GGA-PBE, Alexandria).
Intensities are scaled so that the largest is 100.

Atomic structure:
Lattice parameters (Å, degrees): 5.6409 5.6409 5.6409 90.00 90.00 90.00
Space group Pm-3m (No. 221)
Asymmetric unit:
1 Sm 0.0000 0.0000 0.5000 x3
2 Y 0.5000 0.5000 0.5000 x1
3 S 0.0000 0.0000 0.0000 x1
4 S 0.0000 0.5000 0.5000 x3

Main lines, low angle first (2θ = 5–70°):
(1 1 1), 27.38°, d 3.257, I 69.4
(2 0 0), 31.73°, d 2.820, I 100.0
(2 2 0), 45.48°, d 1.994, I 71.7
(3 1 1), 53.91°, d 1.701, I 34.1
(2 2 2), 56.51°, d 1.628, I 24.8
(4 0 0), 66.28°, d 1.410, I 11.4